Structure and simulated powder diffraction line list of Ni3Pb2S2 (the GGA-PBE geometry in Alexandria; Cu Ka).
Neutral-atom scattering factors, no anomalous dispersion.

Largest 6 diffraction maxima, by angle, 10° ≤ 2θ ≤ 80°:
| Position (°2θ) | I_rel |
| --- | --- |
| 22.21 | 100 |
| 31.53 | 97 |
| 31.70 | 91 |
| 38.91 | 97 |
| 45.32 | 92 |
| 56.25 | 37 |

Structure:
Cell: 5.6452 5.6452 5.6452 Å, 60.35 60.35 60.35°
Element x y z (fractional)
Ni 0.0000 0.5000 0.5000
Ni 0.5000 0.0000 0.5000
Ni 0.5000 0.5000 0.0000
Pb 0.0000 0.0000 0.0000
Pb 0.5000 0.5000 0.5000
S 0.2286 0.2286 0.2286
S 0.7714 0.7714 0.7714